No. 1
The following is a calculated XRD peak list of PHIrAu. It was derived from a cell relaxed with PBE, using Cu Kα X-rays.
No peak broadening, texture or thermal motion is included.

Peak list (10 most intense, 10° ≤ 2θ ≤ 80°, by angle)
| two_theta | I (rel.) |
| --- | --- |
| 27.2 | 100 |
| 29.6 | 84 |
| 30.4 | 46 |
| 36.1 | 77 |
| 38.3 | 39 |
| 40.6 | 38 |
| 43.2 | 69 |
| 46.5 | 32 |
| 51.3 | 31 |
| 56.1 | 29 |

Crystal structure
```
4
Lattice="3.1761 -1.9525 0.0000 3.1761 1.9525 0.0000 -1.6314 0.0000 4.6969" Properties=species:S:1:pos:R:3 pbc="T T T"
P 0.0000 0.0000 0.0000
H 2.0691 0.0000 2.3096
Ir 2.5290 0.0000 4.0097
Au 4.9609 0.0000 2.0353
```

No. 2
The following is a calculated XRD peak list of Pm2Dy5Th2. It was derived from a cell relaxed with PBE, using Cu Kα X-rays.
No peak broadening, texture or thermal motion is included.

Peak list (10 most intense, 10° ≤ 2θ ≤ 80°, by angle)
| two_theta | I (rel.) |
| --- | --- |
| 11.1 | 34 |
| 24.9 | 45 |
| 28.0 | 35 |
| 28.5 | 31 |
| 29.5 | 63 |
| 29.8 | 60 |
| 32.4 | 50 |
| 33.5 | 43 |
| 35.2 | 81 |
| 35.6 | 100 |

Crystal structure
```
9
Lattice="11.2681 -1.7402 0.0000 11.2681 1.7402 0.0000 -1.2383 0.0000 7.9570" Properties=species:S:1:pos:R:3 pbc="T T T"
Pm 3.7884 0.0000 1.1815
Pm 17.5094 0.0000 6.7755
Dy 0.0000 0.0000 0.0000
Dy 1.1406 0.0000 5.7986
Dy 6.3723 0.0000 3.6183
Dy 14.9255 0.0000 4.3387
Dy 20.1572 0.0000 2.1584
Th 9.2856 0.0000 5.1426
Th 12.0122 0.0000 2.8143
```

No. 3
The following is a calculated XRD peak list of Pm5Nd2Y2. It was derived from a cell relaxed with PBE, using Cu Kα X-rays.
No peak broadening, texture or thermal motion is included.

Peak list (10 most intense, 10° ≤ 2θ ≤ 80°, by angle)
| two_theta | I (rel.) |
| --- | --- |
| 28.0 | 71 |
| 29.7 | 100 |
| 30.0 | 81 |
| 30.6 | 71 |
| 32.3 | 64 |
| 32.5 | 53 |
| 35.2 | 53 |
| 37.4 | 40 |
| 39.0 | 32 |
| 55.8 | 33 |

Crystal structure
```
18
Lattice="-7.5244 6.0149 3.4277 7.5244 -6.0149 3.4277 7.5244 6.0149 -3.4277" Properties=species:S:1:pos:R:3 pbc="T T T"
Pm 0.7837 3.0003 0.0000
Pm 6.7407 3.0003 0.0000
Pm -2.1565 2.7884 1.2353
Pm 9.6809 2.7884 1.2353
Pm 3.7622 3.1542 1.3301
Pm 0.7837 3.0146 3.4277
Pm 6.7407 3.0146 3.4277
Pm 3.7622 2.8607 4.7578
Pm 2.1565 9.2414 1.2353
Pm -2.1565 3.2265 4.6630
Nd 0.0000 0.0000 2.2032
Nd 7.5244 0.0000 2.2032
Nd 3.7622 -0.0492 2.6346
Nd 3.7622 6.0641 -0.7931
Y -1.8987 5.9700 2.3844
Y 1.8987 -0.0449 5.8121
Y 1.8987 6.0598 2.3844
Y 5.6257 6.0598 2.3844
```